Entry 1:
Starting from a cell relaxed with GGA-PBE, the powder diffraction line list of Tm3SnRh4 was calculated for λ = 1.5418 Å (Cu Kα).
Kinematic intensities with the Lorentz-polarization factor, no thermal factor.

Structure:
```
Tm3SnRh4
1.0
2.3604 1.3628 7.7177
-2.3604 1.3628 7.7177
0.0000 -2.7255 7.7177
Tm Sn Rh
3 1 4
direct
0.0000 0.0000 0.0000
0.2466 0.2466 0.2466
0.7534 0.7534 0.7534
0.5000 0.5000 0.5000
0.1243 0.1243 0.1243
0.3761 0.3761 0.3761
0.6239 0.6239 0.6239
0.8757 0.8757 0.8757
```

Most intense lines, 10° ≤ 2θ ≤ 80°, in order of rising 2θ:
2θ (°)	intensity
22.08	1
26.70	4
29.14	1
38.11	100
47.14	1
55.00	17
62.16	2
68.87	35

Entry 2:
Starting from a cell relaxed with GGA-PBE, the powder diffraction line list of Nb2PdWN was calculated for λ = 1.5418 Å (Cu Kα).
Kinematic intensities with the Lorentz-polarization factor, no thermal factor.

Structure:
```
Nb2PdWN
1.0
4.2736 0.0000 0.0000
0.0000 4.2736 0.0000
0.0000 0.0000 4.0812
Nb Pd W N
2 1 1 1
direct
0.0000 0.5000 0.0000
0.5000 0.0000 0.0000
0.0000 0.0000 0.5000
0.5000 0.5000 0.5000
0.5000 0.5000 0.0000
```

Most intense lines, 10° ≤ 2θ ≤ 80°, in order of rising 2θ:
2θ (°)	intensity
20.79	7
29.56	5
37.02	100
42.30	38
44.39	17
61.36	12
62.98	23
73.87	26
76.85	12
78.82	12

Entry 3:
Starting from a cell relaxed with GGA-PBE, the powder diffraction line list of KCrSnTe3 was calculated for λ = 1.5418 Å (Cu Kα).
Kinematic intensities with the Lorentz-polarization factor, no thermal factor.

Structure:
```
KCrSnTe3
1.0
8.3218 0.0000 0.0000
0.0000 4.2329 0.0000
-3.1263 0.0000 11.6704
K Cr Sn Te
2 2 2 6
direct
0.0446 0.2500 0.1703
0.9554 0.7500 0.8297
0.4536 0.7500 0.8514
0.5464 0.2500 0.1486
0.3779 0.2500 0.5490
0.6221 0.7500 0.4510
0.2073 0.7500 0.6418
0.3068 0.2500 0.9421
0.3844 0.7500 0.2274
0.6156 0.2500 0.7726
0.6932 0.7500 0.0579
0.7927 0.2500 0.3582
```

Most intense lines, 10° ≤ 2θ ≤ 80°, in order of rising 2θ:
2θ (°)	intensity
11.01	89
25.84	36
26.69	52
27.95	43
31.64	100
36.05	30
42.29	30
42.72	28
44.31	48
51.82	23

Entry 4:
Starting from a cell relaxed with GGA-PBE, the powder diffraction line list of CeY3Er4 was calculated for λ = 1.5418 Å (Cu Kα).
Kinematic intensities with the Lorentz-polarization factor, no thermal factor.

Structure:
```
CeY3Er4
1.0
11.6887 -1.7060 0.0000
11.6887 1.7060 0.0000
-1.9095 0.0000 6.4068
Ce Y Er
1 3 4
direct
0.0000 0.0000 0.0000
0.3739 0.3739 0.6306
0.5000 0.5000 0.5000
0.6261 0.6261 0.3694
0.2408 0.2408 0.2354
0.3749 0.3749 0.1165
0.6251 0.6251 0.8835
0.7592 0.7592 0.7646
```

Most intense lines, 10° ≤ 2θ ≤ 80°, in order of rising 2θ:
2θ (°)	intensity
28.77	14
29.39	30
31.16	100
31.96	45
33.00	19
33.55	49
37.89	19
43.97	17
56.45	16
63.43	26